Starting from the GGA-PBE geometry in Alexandria, the PXRD pattern of BaAl2SiH2 was simulated for Cu Kα X-rays.
No peak broadening, texture or thermal motion is included.

Principal peaks in the range 2θ from 15° to 90°, by angle:
22.36°, I 100
22.53°, I 86
28.91°, I 49
30.27°, I 79
30.66°, I 86
32.76°, I 49
34.20°, I 83
43.28°, I 59

Structural model:
```
BaAl2SiH2
1.0
6.044 0.000 0.000
0.000 5.792 0.000
-2.911 0.000 6.177
Ba Al Si H
2 4 2 4
Direct
0.247 0.250 0.001 Ba
0.753 0.750 0.999 Ba
0.259 0.010 0.499 Al
0.259 0.490 0.499 Al
0.741 0.510 0.501 Al
0.741 0.990 0.501 Al
0.129 0.750 0.734 Si
0.871 0.250 0.266 Si
0.380 0.250 0.687 H
0.444 0.250 0.411 H
0.556 0.750 0.589 H
0.620 0.750 0.313 H
```

=====

Starting from the GGA-PBE geometry in Alexandria, the PXRD pattern of Sm3TmRh8 was simulated for Cu Kα X-rays.
No peak broadening, texture or thermal motion is included.

Principal peaks in the range 2θ from 15° to 90°, by angle:
33.39°, I 40
39.37°, I 100
41.20°, I 28
59.68°, I 15
63.71°, I 32
70.14°, I 26
83.52°, I 11
84.71°, I 10

Structural model:
```
Sm3TmRh8
1.0
2.683 1.549 8.765
-2.683 1.549 8.765
0.000 -3.098 8.765
Sm Tm Rh
3 1 8
Direct
0.000 0.000 0.000 Sm
0.126 0.126 0.126 Sm
0.624 0.624 0.624 Sm
0.499 0.499 0.499 Tm
0.062 0.062 0.561 Rh
0.062 0.561 0.062 Rh
0.064 0.563 0.563 Rh
0.312 0.312 0.312 Rh
0.561 0.062 0.062 Rh
0.563 0.064 0.563 Rh
0.563 0.563 0.064 Rh
0.813 0.813 0.813 Rh
```

=====

Starting from the GGA-PBE geometry in Alexandria, the PXRD pattern of AcPr6Nd8 was simulated for Cu Kα X-rays.
No peak broadening, texture or thermal motion is included.

Principal peaks in the range 2θ from 15° to 90°, by angle:
25.90°, I 20
29.70°, I 100
30.51°, I 14
32.21°, I 17
33.37°, I 51
50.25°, I 32
57.39°, I 14
59.47°, I 13

Structural model:
```
AcPr6Nd8
1.0
4.803 2.773 6.881
-4.803 2.773 6.881
0.000 -5.546 6.881
Ac Pr Nd
1 6 8
Direct
0.000 0.000 0.000 Ac
0.106 0.552 0.270 Pr
0.270 0.106 0.552 Pr
0.448 0.730 0.894 Pr
0.552 0.270 0.106 Pr
0.730 0.894 0.448 Pr
0.894 0.448 0.730 Pr
0.082 0.774 0.650 Nd
0.226 0.350 0.918 Nd
0.350 0.918 0.226 Nd
0.429 0.429 0.429 Nd
0.571 0.571 0.571 Nd
0.650 0.082 0.774 Nd
0.774 0.650 0.082 Nd
0.918 0.226 0.350 Nd
```